No. 1
Theoretical XRD peak list
Compound: Sr3Li6Cd5
Radiation: Cu Kα (λ = 1.5418 Å)
Structure: the PBE geometry in Alexandria
Lines closer than 0.1° are merged.

Main lines, in order of rising 2θ (2θ = 15–90°):
21.0 deg, I = 69
25.4 deg, I = 35
26.1 deg, I = 69
27.5 deg, I = 72
30.4 deg, I = 63
31.4 deg, I = 100
31.6 deg, I = 57
36.6 deg, I = 61
39.8 deg, I = 37
48.3 deg, I = 42

Atomic structure:
abc: 4.9069 14.2529 10.3922
angles: 90.00 90.00 90.00
Positions (direct):
Sr: 0.2500 0.0514 0.2478
Sr: 0.2500 0.4486 0.2478
Sr: 0.2500 0.7500 0.2563
Sr: 0.7500 0.2500 0.7437
Sr: 0.7500 0.5514 0.7522
Sr: 0.7500 0.9486 0.7522
Li: 0.2500 0.0749 0.9003
Li: 0.2500 0.2500 0.0564
Li: 0.2500 0.2500 0.4440
Li: 0.2500 0.4251 0.9003
Li: 0.2500 0.6115 0.5325
Li: 0.2500 0.8885 0.5325
Li: 0.7500 0.1115 0.4675
Li: 0.7500 0.3885 0.4675
Li: 0.7500 0.5749 0.0997
Li: 0.7500 0.7500 0.5560
Li: 0.7500 0.7500 0.9436
Li: 0.7500 0.9251 0.0997
Cd: 0.2500 0.0860 0.6090
Cd: 0.2500 0.4140 0.6090
Cd: 0.2500 0.6290 0.9708
Cd: 0.2500 0.7500 0.7317
Cd: 0.2500 0.8710 0.9708
Cd: 0.7500 0.1290 0.0292
Cd: 0.7500 0.2500 0.2683
Cd: 0.7500 0.3710 0.0292
Cd: 0.7500 0.5860 0.3910
Cd: 0.7500 0.9140 0.3910

=====

No. 2
Theoretical XRD peak list
Compound: SrLi5Cd6
Radiation: Cu Kα (λ = 1.5418 Å)
Structure: the PBE geometry in Alexandria
Lines closer than 0.1° are merged.

Main lines, in order of rising 2θ (2θ = 15–90°):
24.5 deg, I = 33
25.7 deg, I = 71
28.6 deg, I = 18
35.8 deg, I = 100
36.7 deg, I = 53
44.6 deg, I = 24
52.9 deg, I = 17
53.2 deg, I = 13
65.5 deg, I = 29
70.2 deg, I = 11

Atomic structure:
abc: 7.7430 7.7430 7.2724
angles: 90.00 90.00 143.15
Positions (direct):
Sr: 0.0000 0.0000 0.0000
Li: 0.0000 0.0000 0.5000
Li: 0.3248 0.6752 0.0000
Li: 0.3414 0.6586 0.5000
Li: 0.6586 0.3414 0.5000
Li: 0.6752 0.3248 0.0000
Cd: 0.1783 0.8217 0.2806
Cd: 0.1783 0.8217 0.7194
Cd: 0.5000 0.5000 0.2902
Cd: 0.5000 0.5000 0.7098
Cd: 0.8217 0.1783 0.2806
Cd: 0.8217 0.1783 0.7194